No. 1
Calculated X-ray powder pattern of NaCd4H2 for Cu Ka, from a GGA-PBE-relaxed structure.
Kinematic intensities with the Lorentz-polarization factor, no thermal factor.

Structural model:
```
data_NaCd4H2
_chemical_formula_sum 'Na1 Cd4 H2'
_cell_length_a 3.1322
_cell_length_b 5.1626
_cell_length_c 8.7259
_cell_angle_alpha 105.33
_cell_angle_beta 100.17
_cell_angle_gamma 91.83
_symmetry_space_group_name_H-M 'P -1'
_symmetry_Int_Tables_number 2
_symmetry_space_group_name_Hall '-P 1'
loop_
_atom_site_label
_atom_site_fract_x
_atom_site_fract_y
_atom_site_fract_z
Na1 0.0000 0.0000 0.0000
Cd1 0.3177 0.8338 0.6422
Cd2 0.4099 0.4128 0.8164
H1 0.2620 0.2460 0.5148
```

Main lines, sorted by position (10 to 90 degrees two-theta):
- hkl 0 0 2, 2θ 21.5, intensity 45
- hkl 0 1 1, 2θ 23.3, intensity 36
- hkl 1 0 -1, 2θ 29.0, intensity 99
- hkl 0 1 2, 2θ 31.8, intensity 94
- hkl 0 1 -3, 2θ 32.6, intensity 99
- hkl 1 0 -2, 2θ 32.8, intensity 42
- hkl 1 0 1, 2θ 33.0, intensity 40
- hkl 0 2 -1, 2θ 34.8, intensity 100
- hkl -1 1 3, 2θ 46.5, intensity 48
- hkl 1 1 2, 2θ 47.5, intensity 69

No. 2
Calculated X-ray powder pattern of SrLiCaAg for Cu Ka, from a GGA-PBE-relaxed structure.
Kinematic intensities with the Lorentz-polarization factor, no thermal factor.

Structural model:
```
data_SrLiCaAg
_chemical_formula_sum 'Sr2 Li2 Ca2 Ag2'
_cell_length_a 4.5905
_cell_length_b 4.4905
_cell_length_c 12.2082
_cell_angle_alpha 90.00
_cell_angle_beta 90.00
_cell_angle_gamma 90.00
_symmetry_space_group_name_H-M 'A m m 2'
_symmetry_Int_Tables_number 38
_symmetry_space_group_name_Hall 'A 2 -2'
loop_
_atom_site_label
_atom_site_fract_x
_atom_site_fract_y
_atom_site_fract_z
Sr1 0.0000 0.0000 0.0000
Li1 0.0000 0.0000 0.7097
Ca1 0.5000 0.0000 0.2875
Ag1 0.5000 0.0000 0.5857
```

Main lines, sorted by position (10 to 90 degrees two-theta):
- hkl 0 0 2, 2θ 14.5, intensity 54
- hkl 1 0 2, 2θ 24.3, intensity 22
- hkl 1 1 1, 2θ 28.8, intensity 100
- hkl 0 1 3, 2θ 29.6, intensity 44
- hkl 1 0 4, 2θ 35.3, intensity 26
- hkl 1 1 3, 2θ 35.6, intensity 38
- hkl 2 0 0, 2θ 39.3, intensity 17
- hkl 0 2 0, 2θ 40.2, intensity 16
- hkl 0 1 5, 2θ 42.1, intensity 18
- hkl 2 1 3, 2θ 49.9, intensity 19

No. 3
Calculated X-ray powder pattern of NdB2Rh8 for Cu Ka, from a GGA-PBE-relaxed structure.
Kinematic intensities with the Lorentz-polarization factor, no thermal factor.

Structural model:
```
data_NdB2Rh8
_chemical_formula_sum 'Nd1 B2 Rh8'
_cell_length_a 5.2517
_cell_length_b 5.2517
_cell_length_c 7.0353
_cell_angle_alpha 90.00
_cell_angle_beta 90.00
_cell_angle_gamma 90.00
_symmetry_space_group_name_H-M 'P 4/m m m'
_symmetry_Int_Tables_number 123
_symmetry_space_group_name_Hall '-P 4 2'
loop_
_atom_site_label
_atom_site_fract_x
_atom_site_fract_y
_atom_site_fract_z
Nd1 0.0000 0.0000 0.0000
B1 0.0000 0.5000 0.5000
Rh1 0.2553 0.2553 0.3167
```

Main lines, sorted by position (10 to 90 degrees two-theta):
- hkl 0 0 1, 2θ 12.6, intensity 52
- hkl 1 0 1, 2θ 21.1, intensity 30
- hkl 0 0 2, 2θ 25.3, intensity 33
- hkl 2 0 0, 2θ 34.1, intensity 85
- hkl 2 0 1, 2θ 36.5, intensity 68
- hkl 0 0 3, 2θ 38.4, intensity 65
- hkl 2 0 2, 2θ 43.0, intensity 100
- hkl 2 2 0, 2θ 49.1, intensity 65
- hkl 2 0 3, 2θ 52.3, intensity 51
- hkl 2 2 3, 2θ 64.0, intensity 50

No. 4
Calculated X-ray powder pattern of Ba3Sr6Ac2 for Cu Ka, from a GGA-PBE-relaxed structure.
Kinematic intensities with the Lorentz-polarization factor, no thermal factor.

Structural model:
```
data_Ba3Sr6Ac2
_chemical_formula_sum 'Ba9 Sr18 Ac6'
_cell_length_a 4.2188
_cell_length_b 4.2188
_cell_length_c 115.6047
_cell_angle_alpha 90.00
_cell_angle_beta 90.00
_cell_angle_gamma 120.00
_symmetry_space_group_name_H-M 'R -3 m'
_symmetry_Int_Tables_number 166
_symmetry_space_group_name_Hall '-R 3 2"'
loop_
_atom_site_label
_atom_site_fract_x
_atom_site_fract_y
_atom_site_fract_z
Ba1 0.0000 0.0000 0.0000
Ba2 0.0000 0.0000 0.2709
Sr1 0.0000 0.0000 0.0939
Sr2 0.0000 0.0000 0.1818
Sr3 0.0000 0.0000 0.3646
Ac1 0.0000 0.0000 0.4560
```

Main lines, sorted by position (10 to 90 degrees two-theta):
- hkl 0 0 33, 2θ 25.4, intensity 31
- hkl 0 1 11, 2θ 25.8, intensity 100
- hkl 1 0 22, 2θ 29.8, intensity 67
- hkl 0 1 44, 2θ 42.4, intensity 22
- hkl 1 1 0, 2θ 42.9, intensity 27
- hkl 1 0 55, 2θ 50.1, intensity 12
- hkl 1 1 33, 2θ 50.5, intensity 29
- hkl 2 0 11, 2θ 50.7, intensity 16
- hkl 0 2 22, 2θ 53.1, intensity 14
- hkl 1 2 11, 2θ 68.5, intensity 13

No. 5
Calculated X-ray powder pattern of Pa2Ni4Ge3 for Cu Ka, from a GGA-PBE-relaxed structure.
Kinematic intensities with the Lorentz-polarization factor, no thermal factor.

Structural model:
```
data_Pa2Ni4Ge3
_chemical_formula_sum 'Pa8 Ni16 Ge12'
_cell_length_a 5.6369
_cell_length_b 14.5727
_cell_length_c 6.9140
_cell_angle_alpha 90.00
_cell_angle_beta 90.00
_cell_angle_gamma 90.00
_symmetry_space_group_name_H-M 'C m c e'
_symmetry_Int_Tables_number 64
_symmetry_space_group_name_Hall '-C 2ac 2'
loop_
_atom_site_label
_atom_site_fract_x
_atom_site_fract_y
_atom_site_fract_z
Pa1 0.0000 0.1012 0.0922
Ni1 0.0000 0.1712 0.4831
Ni2 0.2500 0.0684 0.7500
Ge1 0.0000 0.0000 0.5000
Ge2 0.2500 0.2345 0.7500
```

Main lines, sorted by position (10 to 90 degrees two-theta):
- hkl 1 1 1, 2θ 21.2, intensity 33
- hkl 1 1 2, 2θ 31.0, intensity 24
- hkl 1 3 2, 2θ 35.6, intensity 53
- hkl 2 2 1, 2θ 36.6, intensity 46
- hkl 1 5 1, 2θ 37.1, intensity 100
- hkl 2 4 0, 2θ 40.5, intensity 27
- hkl 0 2 3, 2θ 41.1, intensity 40
- hkl 2 0 2, 2θ 41.3, intensity 51
- hkl 3 5 1, 2θ 60.1, intensity 22
- hkl 2 10 0, 2θ 73.1, intensity 24